1.
Structure and theoretical powder diffractogram of Sm2Zn3Pt12Rh (the GGA-PBE geometry in Alexandria; Cu Kα).
Neutral-atom scattering factors, no anomalous dispersion.

Largest 6 diffraction maxima, low angle first, 5 to 70 degrees two-theta:
33.11 deg, d 2.706, intensity 100; 40.51 deg, d 2.227, intensity 27; 41.52 deg, d 2.175, intensity 50; 46.99 deg, d 1.934, intensity 25; 50.61 deg, d 1.804, intensity 28; 53.00 deg, d 1.728, intensity 45

Cell and atoms:
```
data_Sm2Zn3Pt12Rh
_chemical_formula_sum 'Sm2 Zn3 Pt12 Rh1'
_symmetry_space_group_name_H-M 'P 1'
_symmetry_Int_Tables_number 1
_symmetry_space_group_name_Hall 'P 1'
_cell_length_a 9.340
_cell_length_b 9.340
_cell_length_c 9.340
_cell_angle_alpha 43.43
_cell_angle_beta 43.43
_cell_angle_gamma 43.43
loop_
_atom_site_label
_atom_site_fract_x
_atom_site_fract_y
_atom_site_fract_z
Sm1 0.153 0.153 0.153
Sm2 0.847 0.847 0.847
Zn1 0.000 0.500 0.500
Zn2 0.500 0.000 0.500
Zn3 0.500 0.500 0.000
Pt1 0.085 0.085 0.688
Pt2 0.085 0.688 0.085
Pt3 0.115 0.596 0.596
Pt4 0.312 0.915 0.915
Pt5 0.404 0.404 0.885
Pt6 0.404 0.885 0.404
Pt7 0.596 0.115 0.596
Pt8 0.596 0.596 0.115
Pt9 0.688 0.085 0.085
Pt10 0.885 0.404 0.404
Pt11 0.915 0.312 0.915
Pt12 0.915 0.915 0.312
Rh1 0.500 0.500 0.500
```

2.
Structure and theoretical powder diffractogram of Pt6Rh3W2 (the GGA-PBE geometry in Alexandria; Cu Kα).
Neutral-atom scattering factors, no anomalous dispersion.

Largest 6 diffraction maxima, low angle first, 5 to 70 degrees two-theta:
39.40 deg, d 2.287, intensity 57; 40.89 deg, d 2.207, intensity 100; 43.02 deg, d 2.103, intensity 50; 45.64 deg, d 1.988, intensity 54; 68.66 deg, d 1.367, intensity 35; 69.00 deg, d 1.361, intensity 26

Cell and atoms:
```
data_Pt6Rh3W2
_chemical_formula_sum 'Pt12 Rh6 W4'
_symmetry_space_group_name_H-M 'P 1'
_symmetry_Int_Tables_number 1
_symmetry_space_group_name_Hall 'P 1'
_cell_length_a 4.734
_cell_length_b 4.734
_cell_length_c 18.297
_cell_angle_alpha 90.00
_cell_angle_beta 90.00
_cell_angle_gamma 119.93
loop_
_atom_site_label
_atom_site_fract_x
_atom_site_fract_y
_atom_site_fract_z
Pt1 0.001 0.333 0.121
Pt2 0.001 0.670 0.621
Pt3 0.330 0.330 0.879
Pt4 0.330 0.999 0.379
Pt5 0.333 0.001 0.121
Pt6 0.334 0.334 0.621
Pt7 0.666 0.666 0.379
Pt8 0.667 0.999 0.879
Pt9 0.670 0.001 0.621
Pt10 0.670 0.670 0.121
Pt11 0.999 0.330 0.379
Pt12 0.999 0.667 0.879
Rh1 0.001 0.663 0.250
Rh2 0.337 0.337 0.250
Rh3 0.337 0.999 0.750
Rh4 0.663 0.001 0.250
Rh5 0.663 0.663 0.750
Rh6 0.999 0.337 0.750
W1 0.333 0.667 0.500
W2 0.334 0.666 0.000
W3 0.666 0.334 0.000
W4 0.667 0.333 0.500
```